Calculated XRD peak list of Li4AsPPt2 for a wavelength of 1.5418 Å, from the GGA-PBE geometry in OQMD.
No peak broadening, texture or thermal motion is included.

Structural model:
```
data_Li4AsPPt2
_chemical_formula_sum 'Li4 As1 P1 Pt2'
_cell_length_a 4.155
_cell_length_b 4.155
_cell_length_c 6.110
_cell_angle_alpha 90.00
_cell_angle_beta 90.00
_cell_angle_gamma 90.00
_space_group_name_H-M_alt 'P -4 m 2'
_space_group_IT_number 115
loop_
_space_group_symop_operation_xyz
'x,y,z'
'y,-x,-z'
'-x,-y,z'
'-y,x,-z'
'-x,y,z'
'-y,-x,-z'
'x,-y,z'
'y,x,-z'
loop_
_atom_site_label
_atom_site_fract_x
_atom_site_fract_y
_atom_site_fract_z
_atom_site_occupancy
Li1 0.000 0.000 0.000 1
Li2 0.000 0.500 0.737 1
Li3 0.500 0.500 0.500 1
As1 0.500 0.500 0.000 1
P1 0.000 0.000 0.500 1
Pt1 0.000 0.500 0.272 1
```

Peak list (6 most intense, 2θ from 15° to 90°, in order of falling intensity)
hkl 1 0 1, 25.93 deg, d = 3.436 Å, intensity 100; hkl 1 1 2, 42.70 deg, d = 2.118 Å, intensity 45; hkl 2 1 1, 51.40 deg, d = 1.778 Å, intensity 31; hkl 2 0 0, 43.56 deg, d = 2.078 Å, intensity 23; hkl 1 1 0, 30.42 deg, d = 2.938 Å, intensity 17; hkl 3 1 2, 79.39 deg, d = 1.207 Å, intensity 15

=====

Calculated XRD peak list of Li2As2Pd3 for a wavelength of 1.5418 Å, from the GGA-PBE geometry in OQMD.
No peak broadening, texture or thermal motion is included.

Structural model:
```
data_Li2As2Pd3
_chemical_formula_sum 'Li6 As6 Pd9'
_cell_length_a 4.2787
_cell_length_b 4.2787
_cell_length_c 20.5192
_cell_angle_alpha 90.00
_cell_angle_beta 90.00
_cell_angle_gamma 120.00
_space_group_name_H-M_alt 'R 3 m'
_space_group_IT_number 160
_space_group_name_Hall 'R 3 -2"'
loop_
_atom_site_label
_atom_site_fract_x
_atom_site_fract_y
_atom_site_fract_z
_atom_site_occupancy
Li1 0.0000 0.0000 0.0000 1
Li2 0.0000 0.0000 0.4730 1
As1 0.0000 0.0000 0.2256 1
As2 0.0000 0.0000 0.7334 1
Pd1 0.0000 0.0000 0.3501 1
Pd2 0.0000 0.0000 0.6052 1
Pd3 0.0000 0.0000 0.8603 1
```

Peak list (6 most intense, 2θ from 15° to 90°, in order of falling intensity)
hkl 1 1 0, 42.24 deg, d = 2.139 Å, intensity 100; hkl 0 1 8, 42.88 deg, d = 2.109 Å, intensity 91; hkl 0 1 2, 25.56 deg, d = 3.485 Å, intensity 52; hkl 1 2 8, 77.68 deg, d = 1.229 Å, intensity 31; hkl 2 0 8, 61.77 deg, d = 1.502 Å, intensity 30; hkl 1 0 4, 29.74 deg, d = 3.004 Å, intensity 28

=====

Calculated XRD peak list of Li4SnAsPd2 for a wavelength of 1.5418 Å, from the GGA-PBE geometry in OQMD.
No peak broadening, texture or thermal motion is included.

Structural model:
```
data_Li4SnAsPd2
_chemical_formula_sum 'Li4 Sn1 As1 Pd2'
_cell_length_a 4.358
_cell_length_b 4.358
_cell_length_c 6.272
_cell_angle_alpha 90.00
_cell_angle_beta 90.00
_cell_angle_gamma 90.00
_space_group_name_H-M_alt 'P -4 m 2'
_space_group_IT_number 115
loop_
_space_group_symop_operation_xyz
'x,y,z'
'y,-x,-z'
'-x,-y,z'
'-y,x,-z'
'-x,y,z'
'-y,-x,-z'
'x,-y,z'
'y,x,-z'
loop_
_atom_site_label
_atom_site_fract_x
_atom_site_fract_y
_atom_site_fract_z
_atom_site_occupancy
Li1 0.000 0.000 0.000 1
Li2 0.000 0.500 0.225 1
Li3 0.500 0.500 0.500 1
Sn1 0.000 0.000 0.500 1
As1 0.500 0.500 0.000 1
Pd1 0.000 0.500 0.764 1
```

Peak list (6 most intense, 2θ from 15° to 90°, in order of falling intensity)
hkl 1 0 1, 24.88 deg, d = 3.579 Å, intensity 100; hkl 1 1 2, 41.07 deg, d = 2.198 Å, intensity 63; hkl 2 1 1, 48.94 deg, d = 1.861 Å, intensity 32; hkl 2 0 0, 41.44 deg, d = 2.179 Å, intensity 31; hkl 3 1 2, 75.33 deg, d = 1.262 Å, intensity 21; hkl 1 0 3, 48.28 deg, d = 1.885 Å, intensity 16

=====

Calculated XRD peak list of Sr2LiAs2Pt for a wavelength of 1.5418 Å, from the GGA-PBE geometry in OQMD.
No peak broadening, texture or thermal motion is included.

Structural model:
```
data_Sr2LiAs2Pt
_chemical_formula_sum 'Sr2 Li1 As2 Pt1'
_cell_length_a 4.587
_cell_length_b 4.873
_cell_length_c 8.254
_cell_angle_alpha 90.00
_cell_angle_beta 90.00
_cell_angle_gamma 90.00
_space_group_name_H-M_alt 'P m m m'
_space_group_IT_number 47
loop_
_space_group_symop_operation_xyz
'x,y,z'
'-x,-y,-z'
'-x,-y,z'
'x,y,-z'
'x,-y,-z'
'-x,y,z'
'-x,y,-z'
'x,-y,z'
loop_
_atom_site_label
_atom_site_fract_x
_atom_site_fract_y
_atom_site_fract_z
_atom_site_occupancy
Sr1 0.000 0.000 0.249 1
Li1 0.500 0.500 0.500 1
As1 0.000 0.500 0.000 1
As2 0.500 0.000 0.500 1
Pt1 0.500 0.500 0.000 1
```

Peak list (6 most intense, 2θ from 15° to 90°, in order of falling intensity)
hkl 0 1 1, 21.17 deg, d = 4.196 Å, intensity 100; hkl 0 1 2, 28.34 deg, d = 3.149 Å, intensity 59; hkl 1 0 2, 29.11 deg, d = 3.068 Å, intensity 55; hkl 0 2 0, 36.89 deg, d = 2.437 Å, intensity 29; hkl 1 2 2, 47.66 deg, d = 1.908 Å, intensity 28; hkl 1 1 1, 28.84 deg, d = 3.096 Å, intensity 28

=====

Calculated XRD peak list of Li2Zn2SbAs for a wavelength of 1.5418 Å, from the GGA-PBE geometry in OQMD.
No peak broadening, texture or thermal motion is included.

Structural model:
```
data_Li2Zn2SbAs
_chemical_formula_sum 'Li8 Zn8 Sb4 As4'
_cell_length_a 10.545
_cell_length_b 4.322
_cell_length_c 10.554
_cell_angle_alpha 90.00
_cell_angle_beta 109.59
_cell_angle_gamma 90.00
_space_group_name_H-M_alt 'P 1 m 1'
_space_group_IT_number 6
loop_
_space_group_symop_operation_xyz
'x,y,z'
'x,-y,z'
loop_
_atom_site_label
_atom_site_fract_x
_atom_site_fract_y
_atom_site_fract_z
_atom_site_occupancy
Li1 0.000 0.000 0.000 1
Li2 0.114 0.500 0.374 1
Li3 0.247 0.000 0.759 1
Li4 0.373 0.500 0.121 1
Li5 0.489 0.000 0.486 1
Li6 0.620 0.500 0.862 1
Li7 0.755 0.000 0.248 1
Li8 0.882 0.500 0.632 1
Zn1 0.002 0.000 0.243 1
Zn2 0.136 0.500 0.635 1
Zn3 0.244 0.000 0.004 1
Zn4 0.358 0.500 0.368 1
Zn5 0.487 0.000 0.733 1
Zn6 0.635 0.500 0.119 1
Zn7 0.749 0.000 0.500 1
Zn8 0.884 0.500 0.885 1
Sb1 0.004 0.000 0.502 1
Sb2 0.498 0.000 0.993 1
Sb3 0.620 0.500 0.370 1
Sb4 0.751 0.000 0.753 1
As1 0.127 0.500 0.880 1
As2 0.244 0.000 0.246 1
As3 0.371 0.500 0.617 1
As4 0.881 0.500 0.126 1
```

Peak list (6 most intense, 2θ from 15° to 90°, in order of falling intensity)
hkl 1 1 1, 25.30 deg, d = 3.520 Å, intensity 100; hkl 4 0 -4, 41.94 deg, d = 2.154 Å, intensity 70; hkl 3 2 -1, 49.55 deg, d = 1.840 Å, intensity 31; hkl 3 1 3, 49.69 deg, d = 1.835 Å, intensity 15; hkl 0 2 0, 41.80 deg, d = 2.161 Å, intensity 14; hkl 4 1 -8, 76.60 deg, d = 1.244 Å, intensity 13

=====

Calculated XRD peak list of Lu2AsN for a wavelength of 1.5418 Å, from the GGA-PBE geometry in OQMD.
No peak broadening, texture or thermal motion is included.

Structural model:
```
data_Lu2AsN
_chemical_formula_sum 'Lu4 As2 N2'
_cell_length_a 3.6062
_cell_length_b 3.6062
_cell_length_c 12.6024
_cell_angle_alpha 90.00
_cell_angle_beta 90.00
_cell_angle_gamma 120.00
_space_group_name_H-M_alt 'P 63/m m c'
_space_group_IT_number 194
_space_group_name_Hall '-P 6c 2c'
loop_
_atom_site_label
_atom_site_fract_x
_atom_site_fract_y
_atom_site_fract_z
_atom_site_occupancy
Lu1 0.3333 0.6667 0.1023 1
As1 0.3333 0.6667 0.7500 1
N1 0.0000 0.0000 0.0000 1
```

Peak list (6 most intense, 2θ from 15° to 90°, in order of falling intensity)
hkl 1 0 3, 35.83 deg, d = 2.506 Å, intensity 100; hkl 1 1 0, 50.62 deg, d = 1.803 Å, intensity 29; hkl 1 0 0, 28.58 deg, d = 3.123 Å, intensity 29; hkl 2 0 3, 63.57 deg, d = 1.464 Å, intensity 19; hkl 1 0 1, 29.47 deg, d = 3.031 Å, intensity 17; hkl 2 1 3, 85.44 deg, d = 1.136 Å, intensity 17